Ac3Ga8Hg3: computed X-ray diffraction stick pattern (Cu Kα (weighted mean of Kα1 and Kα2)), based on a DFT-relaxed cell (PBE, Alexandria).

Peak list (8 most intense, 2θ = 10–90°, low angle first)
two_theta, intensity, h k l
27.06, 13, 1 2 1
32.26, 100, 1 2 3
35.33, 21, 0 4 0
37.09, 22, 0 0 6
39.72, 19, 2 0 0
55.47, 14, 2 0 6
61.55, 14, 1 6 3
63.83, 12, 1 2 9

Cell and atoms:
Cell lengths 4.5384, 10.1535, 14.5452 Å; angles 90.00, 90.00, 90.00 degrees
Space group Immm (No. 71)
Unique sites:
Ac: 0.0000 0.0000 0.0000 x2
Ac: 0.0000 0.0000 0.3207 x4
Ga: 0.0000 0.2646 0.1597 x8
Ga: 0.0000 0.3729 0.3329 x8
Hg: 0.0000 0.2248 0.5000 x4
Hg: 0.0000 0.5000 0.0000 x2



AcGa3Hg: computed X-ray diffraction stick pattern (Cu Kα (weighted mean of Kα1 and Kα2)), based on a DFT-relaxed cell (PBE, Alexandria).

Peak list (8 most intense, 2θ = 10–90°, low angle first)
two_theta, intensity, h k l
14.48, 22, 0 4 0
27.05, 21, 1 5 0
29.37, 28, 0 6 1
30.08, 100, 1 3 1
35.33, 20, 0 8 1
38.80, 29, 1 9 0
39.47, 24, 0 0 2
40.45, 23, 2 0 0

Cell and atoms:
Cell lengths 4.4604, 24.4632, 4.5656 Å; angles 90.00, 90.00, 90.00 degrees
Space group Cmmm (No. 65)
Unique sites:
Ac: 0.0000 0.1707 0.0000 x4
Ga: 0.0000 0.0507 0.5000 x4
Ga: 0.0000 0.2746 0.5000 x4
Ga: 0.0000 0.4490 0.0000 x4
Hg: 0.0000 0.3842 0.5000 x4



AcGaHg: computed X-ray diffraction stick pattern (Cu Kα (weighted mean of Kα1 and Kα2)), based on a DFT-relaxed cell (PBE, Alexandria).

Peak list (8 most intense, 2θ = 10–90°, low angle first)
two_theta, intensity, h k l
21.14, 16, 1 1 0
30.43, 100, 2 -1 3
37.04, 53, 3 0 0
44.10, 10, 0 0 6
48.67, 28, 2 2 3
58.91, 24, 3 0 6
62.70, 26, 5 -1 3
86.85, 11, 5 2 3

Cell and atoms:
Cell lengths 8.4068, 8.4068, 12.3220 Å; angles 90.00, 90.00, 120.00 degrees
Space group R3 (No. 146, hexagonal axes)
Unique sites:
Ac: 0.0080 0.6734 0.0000 x9
Ga: 0.0000 0.0000 0.1421 x3
Ga: 0.0000 0.0000 0.5376 x3
Ga: 0.0000 0.0000 0.8091 x3
Hg: 0.9997 0.3315 0.5011 x9



Ac2Ga4HgIr3: computed X-ray diffraction stick pattern (Cu Kα (weighted mean of Kα1 and Kα2)), based on a DFT-relaxed cell (PBE, Alexandria).

Peak list (8 most intense, 2θ = 10–90°, low angle first)
two_theta, intensity, h k l
29.81, 24, 1 1 1
32.10, 62, 1 0 3
33.17, 100, 1 1 2
40.91, 61, 2 0 0
46.86, 25, 1 0 5
52.93, 31, 2 1 3
59.27, 35, 2 2 0
69.62, 31, 0 0 8

Cell and atoms:
Cell lengths 4.4117, 4.4117, 10.7929 Å; angles 90.00, 90.00, 90.00 degrees
Space group P-4m2 (No. 115)
Unique sites:
Ac: 0.0000 0.5000 0.2402 x2
Ga: 0.0000 0.0000 0.0000 x1
Ga: 0.0000 0.5000 0.6390 x2
Ga: 0.5000 0.5000 0.0000 x1
Hg: 0.0000 0.0000 0.5000 x1
Ir: 0.0000 0.5000 0.8751 x2
Ir: 0.5000 0.5000 0.5000 x1